Record 1
Starting from a cell relaxed with PBE, the X-ray powder pattern of SmRh3 was calculated for λ = 1.5418 Å (Cu Kα).

Cell and atoms:
a b c (Å): 5.3178 5.3178 17.6404
angles (deg): 90.00 90.00 120.00
Element x y z (fractional)
Sm: 0.3333 0.6667 0.0421
Sm: 0.3333 0.6667 0.2500
Sm: 0.3333 0.6667 0.4579
Sm: 0.6667 0.3333 0.5421
Sm: 0.6667 0.3333 0.7500
Sm: 0.6667 0.3333 0.9579
Rh: 0.0000 0.0000 0.0000
Rh: 0.0000 0.0000 0.2500
Rh: 0.0000 0.0000 0.5000
Rh: 0.0000 0.0000 0.7500
Rh: 0.1669 0.3339 0.6270
Rh: 0.1669 0.3339 0.8730
Rh: 0.1669 0.8331 0.6270
Rh: 0.1669 0.8331 0.8730
Rh: 0.3333 0.6667 0.7500
Rh: 0.3339 0.1669 0.1270
Rh: 0.3339 0.1669 0.3730
Rh: 0.6661 0.8331 0.6270
Rh: 0.6661 0.8331 0.8730
Rh: 0.6667 0.3333 0.2500
Rh: 0.8331 0.1669 0.1270
Rh: 0.8331 0.1669 0.3730
Rh: 0.8331 0.6661 0.1270
Rh: 0.8331 0.6661 0.3730

Top 8 peaks for 2θ = 10–90°, low angle first:
hkl 1 0 5, 2θ = 31.96°, I = 48; hkl 1 1 0, 2θ = 33.71°, I = 35; hkl 2 0 1, 2θ = 39.47°, I = 37; hkl 1 1 4, 2θ = 39.58°, I = 100; hkl 2 0 3, 2θ = 42.15°, I = 33; hkl 3 0 4, 2θ = 64.25°, I = 24; hkl 2 2 0, 2θ = 70.88°, I = 25; hkl 2 2 8, 2θ = 85.22°, I = 22


Record 2
Starting from a cell relaxed with PBE, the X-ray powder pattern of TbAl2Au2 was calculated for λ = 1.5418 Å (Cu Kα).

Cell and atoms:
a b c (Å): 4.3555 4.3555 10.5323
angles (deg): 90.00 90.00 90.00
Element x y z (fractional)
Tb: 0.2500 0.2500 0.2481
Tb: 0.7500 0.7500 0.7519
Al: 0.2500 0.2500 0.8687
Al: 0.2500 0.7500 0.5000
Al: 0.7500 0.2500 0.5000
Al: 0.7500 0.7500 0.1313
Au: 0.2500 0.2500 0.6327
Au: 0.2500 0.7500 0.0000
Au: 0.7500 0.2500 0.0000
Au: 0.7500 0.7500 0.3673

Top 8 peaks for 2θ = 10–90°, low angle first:
hkl 0 0 3, 2θ = 25.37°, I = 28; hkl 1 0 2, 2θ = 26.56°, I = 34; hkl 1 1 1, 2θ = 30.23°, I = 65; hkl 1 0 3, 2θ = 32.76°, I = 57; hkl 1 1 2, 2θ = 33.71°, I = 100; hkl 2 0 0, 2θ = 41.46°, I = 64; hkl 1 0 5, 2θ = 47.97°, I = 28; hkl 2 1 3, 2θ = 53.82°, I = 28